Structure and computed powder diffraction line list of LiCu3PbS4 (a DFT-relaxed cell (PBE, OQMD); Cu Kα X-rays).
Lines closer than 0.1° are merged.

abc: 5.6753 5.6753 5.6753
angles: 90.00 90.00 90.00
Space group P-43m (No. 215)
Inequivalent atoms, fractional coordinates:
1 Li 0.0000 0.0000 0.0000 x1
2 Cu 0.0000 0.5000 0.5000 x3
3 Pb 0.5000 0.5000 0.5000 x1
4 S 0.2410 0.2410 0.2410 x4

The 8 most intense peaks (10 to 90 degrees two-theta), by angle:
| (hkl) | 2theta | d [Å] | I/Imax |
| --- | --- | --- | --- |
| 1 0 0 | 15.61 | 5.675 | 100 |
| 1 1 0 | 22.15 | 4.013 | 26 |
| 2 0 0 | 31.53 | 2.838 | 23 |
| 2 1 0 | 35.36 | 2.538 | 63 |
| 2 2 0 | 45.19 | 2.007 | 61 |
| 3 0 0 | 48.10 | 1.892 | 31 |
| 3 2 2 | 68.12 | 1.376 | 19 |
| 4 2 2 | 83.44 | 1.158 | 20 |